This entry pairs a crystal structure of Li2V3WO8 with its simulated X-ray diffraction stick pattern. Radiation: Cu Kα. Structure: the PBE+U geometry in Alexandria.
No peak broadening, texture or thermal motion is included.

Structural model:
```
data_Li2V3WO8
_chemical_formula_sum 'Li8 V12 W4 O32'
_cell_length_a 8.592
_cell_length_b 8.592
_cell_length_c 8.592
_cell_angle_alpha 90.00
_cell_angle_beta 90.00
_cell_angle_gamma 90.00
_space_group_name_H-M_alt 'P 43 3 2'
_space_group_IT_number 212
_space_group_name_Hall 'P 4acd 2ab 3'
loop_
_atom_site_label
_atom_site_type_symbol
_atom_site_fract_x
_atom_site_fract_y
_atom_site_fract_z
Li1 Li 0.000 0.000 0.000
V1 V 0.121 0.129 0.625
W1 W 0.125 0.875 0.375
O1 O 0.110 0.380 0.112
O2 O 0.113 0.613 0.887
```

The 10 most intense peaks (5 to 70 degrees two-theta), sorted by position:
hkl  2θ/deg  d_spacing  I/Imax
1 1 0  14.58  6.075  30
1 1 1  17.88  4.960  100
2 1 0  23.15  3.842  43
2 1 1  25.39  3.507  20
3 1 1  34.63  2.590  53
2 2 2  36.22  2.480  23
4 0 0  42.07  2.148  52
5 1 1  55.58  1.653  21
4 4 0  61.01  1.519  33
5 3 1  64.13  1.452  17